1.
Calculated powder XRD pattern
Compound: Tb12Ag6Ir
Radiation: Cu Kα
Structure: a cell relaxed with GGA-PBE

The 10 most intense peaks (10° ≤ 2θ ≤ 80°), sorted by position:
- 15.87°, intensity 17
- 24.20°, intensity 17
- 28.08°, intensity 41
- 32.60°, intensity 100
- 33.30°, intensity 15
- 34.66°, intensity 57
- 35.64°, intensity 45
- 36.77°, intensity 69
- 41.15°, intensity 23
- 60.82°, intensity 15

Structure:
a b c (Å): 8.0884 8.0884 8.0884
angles (deg): 92.48 92.48 92.48
Atoms (fractional coordinates):
Tb 0.0451 0.6985 0.9435
Tb 0.0565 0.9549 0.3015
Tb 0.1776 0.5263 0.3917
Tb 0.3015 0.0565 0.9549
Tb 0.3917 0.1776 0.5263
Tb 0.4737 0.6083 0.8224
Tb 0.5263 0.3917 0.1776
Tb 0.6083 0.8224 0.4737
Tb 0.6985 0.9435 0.0451
Tb 0.8224 0.4737 0.6083
Tb 0.9435 0.0451 0.6985
Tb 0.9549 0.3015 0.0565
Ag 0.1720 0.3705 0.7647
Ag 0.2353 0.8280 0.6295
Ag 0.3705 0.7647 0.1720
Ag 0.6295 0.2353 0.8280
Ag 0.7647 0.1720 0.3705
Ag 0.8280 0.6295 0.2353
Ir 0.5000 0.5000 0.5000


2.
Calculated powder XRD pattern
Compound: Tc2AgIr
Radiation: Cu Kα
Structure: a cell relaxed with GGA-PBE

The 10 most intense peaks (10° ≤ 2θ ≤ 80°), sorted by position:
- 19.06°, intensity 9
- 38.27°, intensity 5
- 38.66°, intensity 34
- 39.93°, intensity 100
- 44.22°, intensity 5
- 46.07°, intensity 65
- 52.62°, intensity 4
- 66.32°, intensity 20
- 68.06°, intensity 20
- 79.49°, intensity 11

Structure:
a b c (Å): 9.4498 9.4498 9.4498
angles (deg): 16.76 16.76 16.76
Atoms (fractional coordinates):
Tc 0.2447 0.2447 0.2447
Tc 0.7553 0.7553 0.7553
Ag 0.0000 0.0000 0.0000
Ir 0.5000 0.5000 0.5000


3.
Calculated powder XRD pattern
Compound: TiTcAg2Ir
Radiation: Cu Kα
Structure: a cell relaxed with GGA-PBE

The 10 most intense peaks (10° ≤ 2θ ≤ 80°), sorted by position:
- 27.86°, intensity 14
- 33.66°, intensity 100
- 37.54°, intensity 54
- 41.98°, intensity 19
- 47.39°, intensity 6
- 54.14°, intensity 18
- 57.57°, intensity 30
- 65.28°, intensity 29
- 70.78°, intensity 16
- 71.39°, intensity 11

Structure:
a b c (Å): 4.7918 4.7918 4.3044
angles (deg): 90.00 90.00 90.00
Atoms (fractional coordinates):
Ti 0.0000 0.0000 0.0000
Tc 0.0000 0.0000 0.5000
Ag 0.0000 0.5000 0.0000
Ag 0.5000 0.0000 0.0000
Ir 0.5000 0.5000 0.5000


4.
Calculated powder XRD pattern
Compound: AgTeIr
Radiation: Cu Kα
Structure: a cell relaxed with GGA-PBE

The 10 most intense peaks (10° ≤ 2θ ≤ 80°), sorted by position:
- 14.88°, intensity 32
- 31.90°, intensity 100
- 41.55°, intensity 54
- 49.64°, intensity 32
- 52.12°, intensity 8
- 54.51°, intensity 16
- 60.23°, intensity 16
- 66.68°, intensity 13
- 69.78°, intensity 12
- 76.81°, intensity 6

Structure:
a b c (Å): 3.6732 3.6732 5.9522
angles (deg): 90.00 90.00 120.00
Atoms (fractional coordinates):
Ag 0.0000 0.0000 0.0000
Te 0.6667 0.3333 0.5414
Ir 0.3333 0.6667 0.3030


5.
Calculated powder XRD pattern
Compound: AgTe4Ir
Radiation: Cu Kα
Structure: a cell relaxed with GGA-PBE

The 10 most intense peaks (10° ≤ 2θ ≤ 80°), sorted by position:
- 11.68°, intensity 22
- 16.76°, intensity 33
- 29.20°, intensity 51
- 29.80°, intensity 100
- 41.96°, intensity 43
- 42.17°, intensity 25
- 42.46°, intensity 24
- 43.92°, intensity 22
- 45.27°, intensity 11
- 53.61°, intensity 20

Structure:
a b c (Å): 5.2908 4.1228 7.5759
angles (deg): 90.00 90.83 90.00
Atoms (fractional coordinates):
Ag 0.0000 0.0000 0.0000
Te 0.2282 0.5000 0.8159
Te 0.2798 0.0000 0.3823
Te 0.7202 0.0000 0.6177
Te 0.7718 0.5000 0.1841
Ir 0.0000 0.5000 0.5000


6.
Calculated powder XRD pattern
Compound: Ti2AgIr2
Radiation: Cu Kα
Structure: a cell relaxed with GGA-PBE

The 10 most intense peaks (10° ≤ 2θ ≤ 80°), sorted by position:
- 26.68°, intensity 54
- 30.60°, intensity 34
- 38.09°, intensity 68
- 41.04°, intensity 100
- 43.68°, intensity 10
- 48.75°, intensity 12
- 49.63°, intensity 34
- 54.28°, intensity 15
- 75.92°, intensity 24
- 76.71°, intensity 17

Structure:
a b c (Å): 7.4714 7.4714 2.9212
angles (deg): 90.00 90.00 90.00
Atoms (fractional coordinates):
Ti 0.1572 0.3428 0.0000
Ti 0.3428 0.8428 0.0000
Ti 0.6572 0.1572 0.0000
Ti 0.8428 0.6572 0.0000
Ag 0.0000 0.0000 0.5000
Ag 0.5000 0.5000 0.5000
Ir 0.1381 0.6381 0.5000
Ir 0.3619 0.1381 0.5000
Ir 0.6381 0.8619 0.5000
Ir 0.8619 0.3619 0.5000


7.
Calculated powder XRD pattern
Compound: Ag2IrW
Radiation: Cu Kα
Structure: a cell relaxed with GGA-PBE

The 10 most intense peaks (10° ≤ 2θ ≤ 80°), sorted by position:
- 36.93°, intensity 31
- 38.34°, intensity 30
- 40.84°, intensity 100
- 46.07°, intensity 6
- 54.29°, intensity 20
- 63.75°, intensity 7
- 69.20°, intensity 18
- 71.02°, intensity 19
- 76.02°, intensity 8
- 76.90°, intensity 8

Structure:
a b c (Å): 2.7647 2.7647 9.7355
angles (deg): 90.00 90.00 116.26
Atoms (fractional coordinates):
Ag 0.0000 0.0000 0.0000
Ag 0.5000 0.5000 0.2572
Ir 0.5000 0.5000 0.7411
W 0.0000 0.0000 0.5172


8.
Calculated powder XRD pattern
Compound: Y4AgIr3
Radiation: Cu Kα
Structure: a cell relaxed with GGA-PBE

The 10 most intense peaks (10° ≤ 2θ ≤ 80°), sorted by position:
- 24.94°, intensity 6
- 25.90°, intensity 11
- 36.27°, intensity 100
- 36.96°, intensity 48
- 45.11°, intensity 5
- 51.17°, intensity 9
- 53.26°, intensity 17
- 64.79°, intensity 18
- 66.15°, intensity 34
- 76.99°, intensity 11

Structure:
a b c (Å): 4.8643 4.8643 7.1401
angles (deg): 90.00 90.00 90.00
Atoms (fractional coordinates):
Y 0.0000 0.5000 0.2406
Y 0.0000 0.5000 0.7594
Y 0.5000 0.0000 0.2406
Y 0.5000 0.0000 0.7594
Ag 0.0000 0.0000 0.5000
Ir 0.0000 0.0000 0.0000
Ir 0.5000 0.5000 0.0000
Ir 0.5000 0.5000 0.5000


9.
Calculated powder XRD pattern
Compound: Y8AgIr2
Radiation: Cu Kα
Structure: a cell relaxed with GGA-PBE

The 10 most intense peaks (10° ≤ 2θ ≤ 80°), sorted by position:
- 16.33°, intensity 43
- 21.21°, intensity 32
- 21.32°, intensity 36
- 29.96°, intensity 63
- 32.09°, intensity 60
- 32.98°, intensity 100
- 34.93°, intensity 48
- 38.34°, intensity 66
- 38.74°, intensity 53
- 45.51°, intensity 43

Structure:
a b c (Å): 7.8093 7.8093 5.6013
angles (deg): 97.88 97.88 112.76
Atoms (fractional coordinates):
Y 0.0000 0.0000 0.0000
Y 0.0482 0.3087 0.6070
Y 0.1372 0.6205 0.1958
Y 0.3087 0.0482 0.6070
Y 0.4489 0.7095 0.7847
Y 0.6205 0.1372 0.1958
Y 0.7095 0.4489 0.7847
Y 0.7568 0.7568 0.3913
Ag 0.3782 0.3782 0.1980
Ir 0.0700 0.6874 0.6956
Ir 0.6874 0.0700 0.6956


10.
Calculated powder XRD pattern
Compound: K5Ag3
Radiation: Cu Kα
Structure: a cell relaxed with GGA-PBE

The 10 most intense peaks (10° ≤ 2θ ≤ 80°), sorted by position:
- 19.29°, intensity 75
- 20.65°, intensity 42
- 26.81°, intensity 37
- 28.56°, intensity 72
- 29.36°, intensity 66
- 29.91°, intensity 100
- 31.51°, intensity 26
- 36.76°, intensity 45
- 37.84°, intensity 36
- 37.97°, intensity 37

Structure:
a b c (Å): 13.6030 10.2578 10.2262
angles (deg): 83.22 48.49 48.29
Atoms (fractional coordinates):
K 0.0833 0.2910 0.7090
K 0.2089 0.5834 0.4166
K 0.2503 0.7497 0.7497
K 0.2910 0.0833 0.9167
K 0.4166 0.7911 0.2089
K 0.5834 0.2089 0.7911
K 0.7090 0.9167 0.0833
K 0.7497 0.2503 0.2503
K 0.7911 0.4166 0.5834
K 0.9167 0.7090 0.2910
Ag 0.1579 0.8421 0.1579
Ag 0.2500 0.2500 0.2500
Ag 0.3425 0.3425 0.6575
Ag 0.6575 0.6575 0.3425
Ag 0.7500 0.7500 0.7500
Ag 0.8421 0.1579 0.8421


11.
Calculated powder XRD pattern
Compound: KAg3
Radiation: Cu Kα
Structure: a cell relaxed with GGA-PBE

The 10 most intense peaks (10° ≤ 2θ ≤ 80°), sorted by position:
- 17.43°, intensity 100
- 18.10°, intensity 67
- 32.19°, intensity 66
- 34.67°, intensity 68
- 34.91°, intensity 84
- 38.25°, intensity 60
- 39.55°, intensity 67
- 41.42°, intensity 62
- 53.90°, intensity 22
- 67.48°, intensity 22

Structure:
a b c (Å): 8.4219 7.6444 6.3854
angles (deg): 90.00 90.00 90.00
Atoms (fractional coordinates):
K 0.0250 0.2500 0.1180
K 0.4750 0.7500 0.6180
K 0.5250 0.2500 0.3820
K 0.9750 0.7500 0.8820
Ag 0.1400 0.7500 0.3481
Ag 0.1513 0.0641 0.5812
Ag 0.1513 0.4359 0.5812
Ag 0.3487 0.5641 0.0812
Ag 0.3487 0.9359 0.0812
Ag 0.3600 0.2500 0.8481
Ag 0.6400 0.7500 0.1519
Ag 0.6513 0.0641 0.9188
Ag 0.6513 0.4359 0.9188
Ag 0.8487 0.5641 0.4188
Ag 0.8487 0.9359 0.4188
Ag 0.8600 0.2500 0.6519


12.
Calculated powder XRD pattern
Compound: K3Ag
Radiation: Cu Kα
Structure: a cell relaxed with GGA-PBE

The 10 most intense peaks (10° ≤ 2θ ≤ 80°), sorted by position:
- 13.64°, intensity 87
- 15.86°, intensity 21
- 23.70°, intensity 47
- 24.56°, intensity 83
- 27.02°, intensity 45
- 30.31°, intensity 100
- 32.51°, intensity 48
- 32.91°, intensity 31
- 34.00°, intensity 22
- 37.77°, intensity 22

Structure:
a b c (Å): 4.7641 7.9724 11.1743
angles (deg): 90.00 90.00 90.00
Atoms (fractional coordinates):
K 0.2500 0.0073 0.1658
K 0.2500 0.2500 0.5429
K 0.2500 0.4927 0.1658
K 0.7500 0.5073 0.8342
K 0.7500 0.7500 0.4571
K 0.7500 0.9927 0.8342
Ag 0.2500 0.7500 0.6807
Ag 0.7500 0.2500 0.3193


13.
Calculated powder XRD pattern
Compound: K4Ag
Radiation: Cu Kα
Structure: a cell relaxed with GGA-PBE

The 10 most intense peaks (10° ≤ 2θ ≤ 80°), sorted by position:
- 10.29°, intensity 72
- 11.34°, intensity 100
- 24.13°, intensity 28
- 26.03°, intensity 54
- 26.53°, intensity 30
- 27.87°, intensity 26
- 30.39°, intensity 46
- 31.54°, intensity 27
- 31.80°, intensity 24
- 33.26°, intensity 24

Structure:
a b c (Å): 10.3425 10.3425 10.3425
angles (deg): 129.89 67.53 137.81
Atoms (fractional coordinates):
K 0.0763 0.6887 0.7649
K 0.1659 0.1432 0.3091
K 0.3341 0.6432 0.9773
K 0.4237 0.1887 0.6124
K 0.5763 0.8113 0.3876
K 0.6659 0.3568 0.0227
K 0.8341 0.8568 0.6909
K 0.9237 0.3113 0.2351
Ag 0.2500 0.2500 0.0000
Ag 0.7500 0.7500 0.0000


14.
Calculated powder XRD pattern
Compound: K3Ag2
Radiation: Cu Kα
Structure: a cell relaxed with GGA-PBE

The 10 most intense peaks (10° ≤ 2θ ≤ 80°), sorted by position:
- 17.84°, intensity 69
- 19.25°, intensity 74
- 27.39°, intensity 100
- 29.39°, intensity 36
- 30.29°, intensity 96
- 32.02°, intensity 51
- 34.48°, intensity 41
- 36.19°, intensity 57
- 44.73°, intensity 31
- 50.84°, intensity 41

Structure:
a b c (Å): 6.7996 6.7996 6.7996
angles (deg): 135.01 111.23 86.03
Atoms (fractional coordinates):
K 0.0000 0.0000 0.0000
K 0.2963 0.7963 0.5000
K 0.7037 0.2037 0.5000
Ag 0.3136 0.5000 0.8136
Ag 0.6864 0.5000 0.1864